Computed X-ray diffraction stick pattern of Tb8Pm5In for copper Kα, from a cell relaxed with GGA-PBE.

The 10 most intense peaks (2θ = 10–90°), by angle:
two_theta  d_spacing  I (rel.)
24.5  3.639  14.1
29.7  3.005  34.0
30.9  2.896  48.6
31.2  2.867  19.7
31.3  2.857  33.3
31.8  2.818  100.0
32.3  2.775  41.8
32.6  2.744  48.8
33.6  2.667  19.8
57.7  1.597  23.0

Cell and atoms:
```
data_Tb8Pm5In
_cell_length_a 15.2836
_cell_length_b 8.4176
_cell_length_c 8.5848
_cell_angle_alpha 90.00
_cell_angle_beta 122.44
_cell_angle_gamma 90.00
_space_group_name_H-M_alt 'C 1 2 1'
_space_group_IT_number 5
_space_group_name_Hall 'C 2y'
loop_
_atom_site_label
_atom_site_type_symbol
_atom_site_fract_x
_atom_site_fract_y
_atom_site_fract_z
Tb1 Tb 0.1272 0.0000 0.1797
Tb2 Tb 0.1744 0.5973 0.2138
Tb3 Tb 0.1840 0.3070 0.9237
Tb4 Tb 0.1902 0.7790 0.5686
Pm1 Pm 0.0000 0.0516 0.5000
Pm2 Pm 0.0495 0.7138 0.7762
Pm3 Pm 0.0992 0.3804 0.4559
In1 In 0.0000 0.3339 0.0000
```